This entry pairs a crystal structure of Ho2Zn3Cu12Si with its simulated X-ray powder pattern. Radiation: Cu Kα (λ = 1.5418 Å). Structure: a structure optimized by DFT (PBE).
Peak positions follow from Bragg's law for the DFT cell and can differ from measured ones.

Crystal structure
```
Ho2Zn3Cu12Si
1.0
3.080 1.778 8.736
-3.080 1.778 8.736
0.000 -3.556 8.736
Ho Zn Cu Si
2 3 12 1
Direct
0.148 0.148 0.148
0.852 0.852 0.852
0.000 0.500 0.500
0.500 0.000 0.500
0.500 0.500 0.000
0.080 0.080 0.691
0.080 0.691 0.080
0.137 0.582 0.582
0.309 0.920 0.920
0.418 0.418 0.863
0.418 0.863 0.418
0.582 0.137 0.582
0.582 0.582 0.137
0.691 0.080 0.080
0.863 0.418 0.418
0.920 0.309 0.920
0.920 0.920 0.309
0.500 0.500 0.500
```

The 8 most intense peaks (2θ = 10–90°), low angle first:
2θ/deg, d/Å, I/Imax
30.8, 2.904, 100
33.8, 2.653, 49
36.4, 2.470, 85
38.3, 2.352, 78
41.5, 2.175, 46
43.8, 2.068, 68
45.5, 1.993, 51
60.1, 1.540, 59